This entry pairs a crystal structure of MnNi2IrO8 with its simulated X-ray powder pattern. Radiation: CuKα. Structure: a DFT-relaxed cell (GGA+U, Alexandria).

Top 8 peaks for 2θ from 10° to 80°, by angle:
2theta  d_spacing  I_rel
14.70  6.026  31
19.45  4.565  30
24.46  3.639  43
27.07  3.293  74
28.19  3.166  64
35.71  2.515  100
53.64  1.709  47
54.91  1.672  40

a b c (Å): 4.564 6.026 4.573
angles (deg): 90.00 92.26 90.00
Fractional coordinates of all 12 atoms:
Mn 0.000 0.000 0.000
Ni 0.500 0.246 0.500
Ni 0.500 0.754 0.500
Ir 0.000 0.500 0.000
O 0.190 0.250 0.812
O 0.190 0.750 0.812
O 0.295 0.000 0.297
O 0.295 0.500 0.297
O 0.705 0.000 0.703
O 0.705 0.500 0.703
O 0.810 0.250 0.188
O 0.810 0.750 0.188